Simulated PXRD pattern
Compound: Ca5Cd3Br16
Radiation: Cu Kα X-rays
Structure: a PBE-relaxed structure
Peak positions follow from Bragg's law for the DFT cell and can differ from measured ones.

Structure:
```
data_Ca5Cd3Br16
_symmetry_space_group_name_H-M 'C 1 m 1'
_symmetry_Int_Tables_number 8
_cell_length_a 14.469
_cell_length_b 8.367
_cell_length_c 13.354
_cell_angle_alpha 90.00
_cell_angle_beta 90.84
_cell_angle_gamma 90.00
loop_
_symmetry_equiv_pos_as_xyz
'x,y,z'
'x,-y,z'
'x+1/2,y+1/2,z'
'x+1/2,-y+1/2,z'
loop_
_atom_site_label
_atom_site_fract_x
_atom_site_fract_y
_atom_site_fract_z
Ca1 0.000 0.000 0.000
Ca2 0.000 0.500 0.234
Ca3 0.168 0.000 0.737
Ca4 0.417 0.248 0.500
Cd1 0.163 0.500 0.499
Cd2 0.247 0.247 0.000
Br1 0.006 0.500 0.620
Br2 0.081 0.265 0.374
Br3 0.089 0.237 0.874
Br4 0.170 0.500 0.116
Br5 0.172 0.000 0.119
Br6 0.249 0.258 0.619
Br7 0.324 0.000 0.880
Br8 0.325 0.500 0.888
Br9 0.326 0.500 0.386
Br10 0.343 0.000 0.370
Br11 0.411 0.256 0.121
Br12 0.496 0.500 0.623
```

Principal peaks in the range 2θ = 10–90°, by angle:
13.3 deg, I 38
13.9 deg, I 31
26.7 deg, I 20
27.9 deg, I 100
28.1 deg, I 56
28.2 deg, I 34
31.7 deg, I 56
32.0 deg, I 35
41.9 deg, I 21
43.3 deg, I 95

=====

Simulated PXRD pattern
Compound: Ac2NdErBi4
Radiation: Cu Kα X-rays
Structure: a PBE-relaxed structure
Peak positions follow from Bragg's law for the DFT cell and can differ from measured ones.

Structure:
```
data_Ac2NdErBi4
_symmetry_space_group_name_H-M 'P 1 2/m 1'
_symmetry_Int_Tables_number 10
_cell_length_a 8.149
_cell_length_b 4.711
_cell_length_c 8.153
_cell_angle_alpha 90.00
_cell_angle_beta 109.49
_cell_angle_gamma 90.00
loop_
_symmetry_equiv_pos_as_xyz
'x,y,z'
'-x,-y,-z'
'-x,y,-z'
'x,-y,z'
loop_
_atom_site_label
_atom_site_fract_x
_atom_site_fract_y
_atom_site_fract_z
Ac1 0.000 0.000 0.000
Ac2 0.000 0.500 0.500
Nd1 0.500 0.000 0.500
Er1 0.500 0.500 0.000
Bi1 0.268 0.500 0.251
Bi2 0.272 0.000 0.762
```

Principal peaks in the range 2θ = 10–90°, by angle:
26.8 deg, I 100
38.2 deg, I 79
47.3 deg, I 29
55.2 deg, I 13
62.4 deg, I 37
69.1 deg, I 27
81.8 deg, I 5
81.9 deg, I 4
88.0 deg, I 14
88.1 deg, I 4

=====

Simulated PXRD pattern
Compound: Cs3Ag2Hg
Radiation: Cu Kα X-rays
Structure: a PBE-relaxed structure
Peak positions follow from Bragg's law for the DFT cell and can differ from measured ones.

Structure:
```
data_Cs3Ag2Hg
_symmetry_space_group_name_H-M 'P n m a'
_symmetry_Int_Tables_number 62
_cell_length_a 14.746
_cell_length_b 5.253
_cell_length_c 15.228
_cell_angle_alpha 90.00
_cell_angle_beta 90.00
_cell_angle_gamma 90.00
loop_
_symmetry_equiv_pos_as_xyz
'x,y,z'
'-x,-y,-z'
'-x+1/2,-y,z+1/2'
'x+1/2,y,-z+1/2'
'x+1/2,-y+1/2,-z+1/2'
'-x+1/2,y+1/2,z+1/2'
'-x,y+1/2,-z'
'x,-y+1/2,z'
loop_
_atom_site_label
_atom_site_fract_x
_atom_site_fract_y
_atom_site_fract_z
Cs1 0.059 0.250 0.124
Cs2 0.121 0.750 0.555
Cs3 0.201 0.250 0.798
Ag1 0.044 0.750 0.320
Ag2 0.198 0.750 0.976
Hg1 0.128 0.250 0.369
```

Principal peaks in the range 2θ = 10–90°, by angle:
13.1 deg, I 45
23.9 deg, I 37
24.4 deg, I 100
24.9 deg, I 36
27.5 deg, I 77
31.5 deg, I 47
31.8 deg, I 41
34.1 deg, I 59
34.6 deg, I 38
47.3 deg, I 39

=====

Simulated PXRD pattern
Compound: Hf3ReRh2
Radiation: Cu Kα X-rays
Structure: a PBE-relaxed structure
Peak positions follow from Bragg's law for the DFT cell and can differ from measured ones.

Structure:
```
data_Hf3ReRh2
_symmetry_space_group_name_H-M 'P 4/m m m'
_symmetry_Int_Tables_number 123
_symmetry_space_group_name_Hall '-P 4 2'
_cell_length_a 3.300
_cell_length_b 3.300
_cell_length_c 9.651
_cell_angle_alpha 90.00
_cell_angle_beta 90.00
_cell_angle_gamma 90.00
loop_
_atom_site_label
_atom_site_fract_x
_atom_site_fract_y
_atom_site_fract_z
Hf1 0.000 0.000 0.000
Hf2 0.000 0.000 0.337
Re1 0.500 0.500 0.500
Rh1 0.500 0.500 0.161
```

Principal peaks in the range 2θ = 10–90°, by angle:
18.4 deg, I 2
27.0 deg, I 3
38.6 deg, I 52
39.1 deg, I 100
55.7 deg, I 18
57.3 deg, I 8
70.2 deg, I 36
71.2 deg, I 17
82.7 deg, I 6
84.0 deg, I 11

=====

Question: Number 4 is which compound?
Answer: Hf3ReRh2

=====

Please write out number 1 again, unchanged.
Simulated PXRD pattern
Compound: Ca5Cd3Br16
Radiation: Cu Kα X-rays
Structure: a PBE-relaxed structure
Peak positions follow from Bragg's law for the DFT cell and can differ from measured ones.

Structure:
```
data_Ca5Cd3Br16
_symmetry_space_group_name_H-M 'C 1 m 1'
_symmetry_Int_Tables_number 8
_cell_length_a 14.469
_cell_length_b 8.367
_cell_length_c 13.354
_cell_angle_alpha 90.00
_cell_angle_beta 90.84
_cell_angle_gamma 90.00
loop_
_symmetry_equiv_pos_as_xyz
'x,y,z'
'x,-y,z'
'x+1/2,y+1/2,z'
'x+1/2,-y+1/2,z'
loop_
_atom_site_label
_atom_site_fract_x
_atom_site_fract_y
_atom_site_fract_z
Ca1 0.000 0.000 0.000
Ca2 0.000 0.500 0.234
Ca3 0.168 0.000 0.737
Ca4 0.417 0.248 0.500
Cd1 0.163 0.500 0.499
Cd2 0.247 0.247 0.000
Br1 0.006 0.500 0.620
Br2 0.081 0.265 0.374
Br3 0.089 0.237 0.874
Br4 0.170 0.500 0.116
Br5 0.172 0.000 0.119
Br6 0.249 0.258 0.619
Br7 0.324 0.000 0.880
Br8 0.325 0.500 0.888
Br9 0.326 0.500 0.386
Br10 0.343 0.000 0.370
Br11 0.411 0.256 0.121
Br12 0.496 0.500 0.623
```

Principal peaks in the range 2θ = 10–90°, by angle:
13.3 deg, I 38
13.9 deg, I 31
26.7 deg, I 20
27.9 deg, I 100
28.1 deg, I 56
28.2 deg, I 34
31.7 deg, I 56
32.0 deg, I 35
41.9 deg, I 21
43.3 deg, I 95

=====

Question: What is the formula in the first record?
Answer: Ca5Cd3Br16

=====

Question: Which formula does entry 4 have?
Answer: Hf3ReRh2